Pm4Te3O2: computed XRD peak list (a wavelength of 1.5418 Å), based on a crystal structure in Alexandria, relaxed with GGA-PBE.
Lines closer than 0.1° are merged.

Crystal structure
Cell: 7.2355 7.2355 9.2079 Å, 118.31 118.31 33.20°
Positions (direct):
Pm1 0.1237 0.1237 0.4144
Pm2 0.3144 0.3144 0.8856
Pm3 0.6856 0.6856 0.1144
Pm4 0.8763 0.8763 0.5856
Te1 0.0000 0.0000 0.0000
Te2 0.3871 0.3871 0.2839
Te3 0.6129 0.6129 0.7161
O1 0.3093 0.3093 0.6233
O2 0.6907 0.6907 0.3767

Most intense lines, 2θ from 15° to 90°, low angle first:
d = 3.081 Å, I = 100.0
d = 3.064 Å, I = 58.7
d = 3.013 Å, I = 11.4
d = 2.881 Å, I = 15.0
d = 2.596 Å, I = 65.1
d = 2.448 Å, I = 18.3
d = 2.067 Å, I = 22.1
d = 1.906 Å, I = 23.1
d = 1.713 Å, I = 21.4
d = 1.572 Å, I = 14.5